1.
This entry pairs a crystal structure of HoSbN2O with its simulated powder diffraction line list. Radiation: Cu Kα, 1.54184 Å. Structure: DFT lattice parameters and positions (PBE).

Main lines, by angle (2θ = 10–90°):
2θ 29.8, 3.002 Å, I 56, (1 -1 1)
2θ 30.0, 2.975 Å, I 49, (0 1 1)
2θ 30.4, 2.937 Å, I 52, (1 0 -2)
2θ 32.1, 2.788 Å, I 100, (1 -2 0)
2θ 32.7, 2.735 Å, I 48, (-2 1 1)
2θ 44.1, 2.052 Å, I 22, (0 2 -2)
2θ 44.5, 2.035 Å, I 19, (2 0 0)
2θ 45.5, 1.993 Å, I 18, (-2 2 2)
2θ 55.7, 1.651 Å, I 21, (2 -3 1)
2θ 58.0, 1.589 Å, I 25, (-3 3 1)

Cell lengths 5.472, 5.577, 5.916 Å; angles 91.61, 116.15, 119.36 degrees
Space group P1 (No. 1)
Symmetry-distinct sites (fractional):
Ho (0.000, 0.000, 0.000) x1
Ho (0.457, 0.729, 0.192) x1
Sb (0.050, 0.545, 0.553) x1
Sb (0.431, 0.214, 0.641) x1
N (0.222, 0.398, 0.375) x1
N (0.505, 0.926, 0.833) x1
N (0.911, 0.570, 0.827) x1
N (0.969, 0.819, 0.357) x1
O (0.274, 0.336, 0.855) x1
O (0.565, 0.154, 0.358) x1


2.
This entry pairs a crystal structure of TmHfAg6 with its simulated powder diffraction line list. Radiation: Cu Kα, 1.54184 Å. Structure: DFT lattice parameters and positions (PBE).

Main lines, by angle (2θ = 10–90°):
2θ 34.5, 2.601 Å, I 28, (0 2 1)
2θ 36.6, 2.456 Å, I 42, (2 0 0)
2θ 39.2, 2.299 Å, I 100, (1 2 1)
2θ 40.1, 2.249 Å, I 52, (1 0 2)
2θ 51.2, 1.786 Å, I 17, (2 2 1)
2θ 63.1, 1.474 Å, I 16, (0 2 3)
2θ 67.6, 1.386 Å, I 19, (3 2 1)
2θ 68.2, 1.374 Å, I 10, (3 0 2)
2θ 75.2, 1.264 Å, I 21, (2 2 3)
2θ 75.6, 1.257 Å, I 15, (1 4 2)

Cell lengths 4.911, 6.066, 5.060 Å; angles 90.00, 90.00, 90.00 degrees
Space group Pmm2 (No. 25)
Symmetry-distinct sites (fractional):
Tm (0.000, 0.000, 0.000) x1
Hf (0.500, 0.500, 0.311) x1
Ag (0.000, 0.261, 0.493) x2
Ag (0.000, 0.500, 0.992) x1
Ag (0.500, 0.000, 0.335) x1
Ag (0.500, 0.255, 0.817) x2


3.
This entry pairs a crystal structure of Tl2Fe2Cl7 with its simulated powder diffraction line list. Radiation: Cu Kα, 1.54184 Å. Structure: DFT lattice parameters and positions (PBE).

Main lines, by angle (2θ = 10–90°):
2θ 13.9, 6.375 Å, I 28, (0 0 1)
2θ 19.3, 4.594 Å, I 30, (1 1 1)
2θ 20.0, 4.431 Å, I 100, (0 2 1)
2θ 21.2, 4.189 Å, I 58, (2 0 -1)
2θ 23.5, 3.788 Å, I 67, (2 2 0)
2θ 28.2, 3.162 Å, I 30, (1 3 1)
2θ 28.9, 3.087 Å, I 29, (2 2 1)
2θ 34.3, 2.614 Å, I 22, (2 2 -2)
2θ 38.1, 2.362 Å, I 20, (1 3 2)
2θ 65.0, 1.435 Å, I 18, (5 5 1)

Cell lengths 9.762, 12.328, 6.464 Å; angles 90.00, 99.53, 90.00 degrees
Space group C2/m (No. 12)
Symmetry-distinct sites (fractional):
Tl (0.000, 0.202, 0.000) x4
Fe (0.224, 0.500, 0.429) x4
Cl (0.000, 0.500, 0.500) x2
Cl (0.133, 0.000, 0.265) x4
Cl (0.246, 0.349, 0.247) x8